Entry 1:
For Sm7IrS5, a cell relaxed with PBE gives the simulated powder diffraction line list in this record (λ = 1.5418 Å (Cu Kα)).
No peak broadening, texture or thermal motion is included.

Atomic structure:
```
data_Sm7IrS5
_symmetry_space_group_name_H-M 'C m c 21'
_symmetry_Int_Tables_number 36
_symmetry_space_group_name_Hall 'C 2c -2'
_cell_length_a 3.9442
_cell_length_b 13.2379
_cell_length_c 24.1159
_cell_angle_alpha 90.00
_cell_angle_beta 90.00
_cell_angle_gamma 90.00
loop_
_atom_site_label
_atom_site_fract_x
_atom_site_fract_y
_atom_site_fract_z
Sm1 0.0000 0.0401 0.0000
Sm2 0.0000 0.1383 0.7139
Sm3 0.0000 0.1387 0.2862
Sm4 0.0000 0.3034 0.0714
Sm5 0.0000 0.3031 0.9286
Sm6 0.0000 0.4111 0.6415
Sm7 0.0000 0.4116 0.3584
Ir1 0.0000 0.3058 0.5003
S1 0.0000 0.0509 0.3922
S2 0.0000 0.0506 0.6078
S3 0.0000 0.2245 0.8214
S4 0.0000 0.2249 0.1787
S5 0.0000 0.5002 0.2500
```

Most intense lines, 5° ≤ 2θ ≤ 70°, by angle:
2θ = 27.9°, intensity 48.7, (0 4 2)
2θ = 29.2°, intensity 100.0, (0 2 7)
2θ = 30.0°, intensity 33.5, (1 1 5)
2θ = 31.3°, intensity 92.8, (1 3 2)
2θ = 32.4°, intensity 59.9, (1 3 3)
2θ = 41.3°, intensity 28.4, (1 1 9)
2θ = 46.0°, intensity 30.3, (2 0 0)
2θ = 55.4°, intensity 46.5, (2 2 7)



Entry 2:
For Sm4IrS3, a cell relaxed with PBE gives the simulated powder diffraction line list in this record (λ = 1.5418 Å (Cu Kα)).
No peak broadening, texture or thermal motion is included.

Atomic structure:
```
data_Sm4IrS3
_symmetry_space_group_name_H-M 'C m m m'
_symmetry_Int_Tables_number 65
_symmetry_space_group_name_Hall '-C 2 2'
_cell_length_a 8.2412
_cell_length_b 11.5460
_cell_length_c 4.0095
_cell_angle_alpha 90.00
_cell_angle_beta 90.00
_cell_angle_gamma 90.00
loop_
_atom_site_label
_atom_site_fract_x
_atom_site_fract_y
_atom_site_fract_z
Sm1 0.0000 0.2468 0.0000
Sm2 0.2410 0.0000 0.5000
Ir1 0.0000 0.0000 0.0000
S1 0.0000 0.5000 0.0000
S2 0.2500 0.2500 0.5000
```

Most intense lines, 5° ≤ 2θ ≤ 70°, by angle:
2θ = 13.2°, intensity 28.8, (1 1 0)
2θ = 31.0°, intensity 50.7, (0 4 0)
2θ = 31.1°, intensity 100.0, (2 0 1)
2θ = 43.9°, intensity 18.9, (4 0 0)
2θ = 44.5°, intensity 73.9, (2 4 1)
2θ = 45.2°, intensity 17.7, (0 0 2)
2θ = 54.7°, intensity 19.7, (4 4 0)
2θ = 55.8°, intensity 18.9, (0 4 2)



Entry 3:
For Sm3IrS2, a cell relaxed with PBE gives the simulated powder diffraction line list in this record (λ = 1.5418 Å (Cu Kα)).
No peak broadening, texture or thermal motion is included.

Atomic structure:
```
data_Sm3IrS2
_symmetry_space_group_name_H-M 'I 4/m m m'
_symmetry_Int_Tables_number 139
_symmetry_space_group_name_Hall '-I 4 2'
_cell_length_a 4.0778
_cell_length_b 4.0778
_cell_length_c 17.2614
_cell_angle_alpha 90.00
_cell_angle_beta 90.00
_cell_angle_gamma 90.00
loop_
_atom_site_label
_atom_site_fract_x
_atom_site_fract_y
_atom_site_fract_z
Sm1 0.0000 0.0000 0.0000
Sm2 0.0000 0.0000 0.3390
Ir1 0.0000 0.0000 0.5000
S1 0.0000 0.0000 0.1718
```

Most intense lines, 5° ≤ 2θ ≤ 70°, by angle:
2θ = 10.2°, intensity 23.4, (0 0 2)
2θ = 22.4°, intensity 16.3, (1 0 1)
2θ = 26.8°, intensity 14.3, (1 0 3)
2θ = 31.0°, intensity 100.0, (1 1 0)
2θ = 44.5°, intensity 73.3, (2 0 0)
2θ = 52.7°, intensity 6.8, (2 1 3)
2θ = 55.2°, intensity 25.6, (2 0 6)
2θ = 64.7°, intensity 8.1, (2 2 0)



Entry 4:
For SnIrS2, a cell relaxed with PBE gives the simulated powder diffraction line list in this record (λ = 1.5418 Å (Cu Kα)).
No peak broadening, texture or thermal motion is included.

Atomic structure:
```
data_SnIrS2
_symmetry_space_group_name_H-M 'R -3 m'
_symmetry_Int_Tables_number 166
_symmetry_space_group_name_Hall '-R 3 2"'
_cell_length_a 3.5715
_cell_length_b 3.5715
_cell_length_c 24.0950
_cell_angle_alpha 90.00
_cell_angle_beta 90.00
_cell_angle_gamma 120.00
loop_
_atom_site_label
_atom_site_fract_x
_atom_site_fract_y
_atom_site_fract_z
Sn1 0.0000 0.0000 0.0000
Ir1 0.0000 0.0000 0.5000
S1 0.0000 0.0000 0.1178
```

Most intense lines, 5° ≤ 2θ ≤ 70°, by angle:
2θ = 11.0°, intensity 42.1, (0 0 3)
2θ = 22.1°, intensity 58.8, (0 0 6)
2θ = 29.8°, intensity 100.0, (0 1 2)
2θ = 32.5°, intensity 47.6, (1 0 4)
2θ = 41.9°, intensity 55.3, (0 1 8)
2θ = 47.9°, intensity 31.5, (1 0 10)
2θ = 51.1°, intensity 33.1, (1 1 0)
2θ = 56.4°, intensity 29.7, (1 1 6)



Entry 5:
For SnIr2S4, a cell relaxed with PBE gives the simulated powder diffraction line list in this record (λ = 1.5418 Å (Cu Kα)).
No peak broadening, texture or thermal motion is included.

Atomic structure:
```
data_SnIr2S4
_symmetry_space_group_name_H-M 'I 41/a'
_symmetry_Int_Tables_number 88
_cell_length_a 6.5274
_cell_length_b 6.5274
_cell_length_c 12.3240
_cell_angle_alpha 90.00
_cell_angle_beta 90.00
_cell_angle_gamma 90.00
loop_
_symmetry_equiv_pos_as_xyz
'x,y,z'
'-x,-y,-z'
'-y+3/4,x+1/4,z+1/4'
'y+3/4,-x+1/4,-z+1/4'
'-x+1/2,-y,z+1/2'
'x+1/2,y,-z+1/2'
'y+3/4,-x+3/4,z+3/4'
'-y+3/4,x+3/4,-z+3/4'
'x+1/2,y+1/2,z+1/2'
'-x+1/2,-y+1/2,-z+1/2'
'-y+1/4,x+3/4,z+3/4'
'y+1/4,-x+3/4,-z+3/4'
'-x,-y+1/2,z'
'x,y+1/2,-z'
'y+1/4,-x+1/4,z+1/4'
'-y+1/4,x+1/4,-z+1/4'
loop_
_atom_site_label
_atom_site_fract_x
_atom_site_fract_y
_atom_site_fract_z
Sn1 0.0000 0.2500 0.1250
Ir1 0.0000 0.0000 0.5000
S1 0.1566 0.0511 0.3329
```

Most intense lines, 5° ≤ 2θ ≤ 70°, by angle:
2θ = 15.4°, intensity 34.7, (1 0 1)
2θ = 25.6°, intensity 55.4, (1 0 3)
2θ = 31.0°, intensity 81.4, (2 0 2)
2θ = 31.5°, intensity 100.0, (2 1 1)
2θ = 39.1°, intensity 40.0, (1 0 5)
2θ = 49.3°, intensity 46.3, (2 2 4)
2θ = 52.7°, intensity 23.1, (2 0 6)
2θ = 65.7°, intensity 23.5, (2 4 2)



Entry 6:
For Tb4IrS3, a cell relaxed with PBE gives the simulated powder diffraction line list in this record (λ = 1.5418 Å (Cu Kα)).
No peak broadening, texture or thermal motion is included.

Atomic structure:
```
data_Tb4IrS3
_symmetry_space_group_name_H-M 'C m m m'
_symmetry_Int_Tables_number 65
_symmetry_space_group_name_Hall '-C 2 2'
_cell_length_a 8.1032
_cell_length_b 11.3336
_cell_length_c 3.9324
_cell_angle_alpha 90.00
_cell_angle_beta 90.00
_cell_angle_gamma 90.00
loop_
_atom_site_label
_atom_site_fract_x
_atom_site_fract_y
_atom_site_fract_z
Tb1 0.0000 0.2457 0.0000
Tb2 0.2406 0.0000 0.5000
Ir1 0.0000 0.0000 0.0000
S1 0.0000 0.5000 0.0000
S2 0.2500 0.2500 0.5000
```

Most intense lines, 5° ≤ 2θ ≤ 70°, by angle:
2θ = 13.4°, intensity 28.5, (1 1 0)
2θ = 27.1°, intensity 20.1, (2 2 0)
2θ = 27.6°, intensity 19.4, (0 2 1)
2θ = 31.6°, intensity 50.6, (0 4 0)
2θ = 31.7°, intensity 100.0, (2 0 1)
2θ = 44.7°, intensity 18.9, (4 0 0)
2θ = 45.4°, intensity 73.5, (2 4 1)
2θ = 55.8°, intensity 19.6, (4 4 0)



Entry 7:
For TeIr2S, a cell relaxed with PBE gives the simulated powder diffraction line list in this record (λ = 1.5418 Å (Cu Kα)).
No peak broadening, texture or thermal motion is included.

Atomic structure:
```
data_TeIr2S
_symmetry_space_group_name_H-M 'I -4 2 d'
_symmetry_Int_Tables_number 122
_symmetry_space_group_name_Hall 'I -4 2bw'
_cell_length_a 4.8625
_cell_length_b 4.8625
_cell_length_c 13.8017
_cell_angle_alpha 90.00
_cell_angle_beta 90.00
_cell_angle_gamma 90.00
loop_
_atom_site_label
_atom_site_fract_x
_atom_site_fract_y
_atom_site_fract_z
Te1 0.0000 0.0000 0.0000
Ir1 0.1610 0.2500 0.6250
S1 0.0000 0.0000 0.5000
```

Most intense lines, 5° ≤ 2θ ≤ 70°, by angle:
2θ = 25.8°, intensity 12.4, (0 0 4)
2θ = 26.7°, intensity 26.0, (1 0 3)
2θ = 29.0°, intensity 100.0, (1 1 2)
2θ = 37.5°, intensity 10.8, (1 0 5)
2θ = 42.1°, intensity 32.6, (2 1 1)
2θ = 45.6°, intensity 41.8, (2 0 4)
2θ = 46.2°, intensity 13.5, (2 1 3)
2θ = 47.6°, intensity 25.9, (1 1 6)



Entry 8:
For TiIrS4, a cell relaxed with PBE gives the simulated powder diffraction line list in this record (λ = 1.5418 Å (Cu Kα)).
No peak broadening, texture or thermal motion is included.

Atomic structure:
```
data_TiIrS4
_symmetry_space_group_name_H-M 'P 1 2/m 1'
_symmetry_Int_Tables_number 10
_symmetry_space_group_name_Hall '-P 2y'
_cell_length_a 5.5663
_cell_length_b 3.4849
_cell_length_c 6.2930
_cell_angle_alpha 90.00
_cell_angle_beta 92.68
_cell_angle_gamma 90.00
loop_
_atom_site_label
_atom_site_fract_x
_atom_site_fract_y
_atom_site_fract_z
Ti1 0.0000 0.0000 0.0000
Ir1 0.5000 0.5000 0.0000
S1 0.1689 0.5000 0.2328
S2 0.3393 0.0000 0.7750
```

Most intense lines, 5° ≤ 2θ ≤ 70°, by angle:
2θ = 14.1°, intensity 100.0, (0 0 1)
2θ = 15.9°, intensity 22.4, (1 0 0)
2θ = 30.3°, intensity 13.7, (1 1 0)
2θ = 33.9°, intensity 42.3, (1 1 1)
2θ = 34.7°, intensity 20.1, (2 0 -1)
2θ = 41.4°, intensity 15.3, (1 1 -2)
2θ = 42.5°, intensity 20.8, (1 1 2)
2θ = 56.2°, intensity 16.3, (3 1 0)



Entry 9:
For TlIr5S8, a cell relaxed with PBE gives the simulated powder diffraction line list in this record (λ = 1.5418 Å (Cu Kα)).
No peak broadening, texture or thermal motion is included.

Atomic structure:
```
data_TlIr5S8
_symmetry_space_group_name_H-M 'P 1'
_symmetry_Int_Tables_number 1
_symmetry_space_group_name_Hall 'P 1'
_cell_length_a 3.5548
_cell_length_b 8.8638
_cell_length_c 9.2185
_cell_angle_alpha 71.88
_cell_angle_beta 86.09
_cell_angle_gamma 79.60
loop_
_atom_site_label
_atom_site_fract_x
_atom_site_fract_y
_atom_site_fract_z
Tl1 0.0000 0.0000 0.0000
Ir1 0.0223 0.6262 0.4677
Ir2 0.1137 0.5758 0.8438
Ir3 0.4188 0.9721 0.4851
Ir4 0.6694 0.3785 0.1918
Ir5 0.8784 0.3165 0.5820
S1 0.1048 0.4315 0.3350
S2 0.2162 0.3281 0.0381
S3 0.4279 0.1375 0.6434
S4 0.4767 0.7824 0.3430
S5 0.5589 0.6402 0.9922
S6 0.6814 0.4863 0.7215
S7 0.8682 0.0983 0.3170
S8 0.9761 0.8081 0.6188
```

Most intense lines, 5° ≤ 2θ ≤ 70°, by angle:
2θ = 10.1°, intensity 55.3, (0 0 1)
2θ = 24.6°, intensity 76.7, (0 2 2)
2θ = 25.7°, intensity 97.7, (0 1 -2)
2θ = 29.2°, intensity 100.0, (0 1 3)
2θ = 30.1°, intensity 61.5, (-1 1 1)
2θ = 30.8°, intensity 63.5, (1 1 2)
2θ = 32.6°, intensity 49.9, (1 0 2)
2θ = 43.7°, intensity 53.0, (0 3 -2)



Entry 10:
For Tm4IrS3, a cell relaxed with PBE gives the simulated powder diffraction line list in this record (λ = 1.5418 Å (Cu Kα)).
No peak broadening, texture or thermal motion is included.

Atomic structure:
```
data_Tm4IrS3
_symmetry_space_group_name_H-M 'C m m m'
_symmetry_Int_Tables_number 65
_symmetry_space_group_name_Hall '-C 2 2'
_cell_length_a 7.9858
_cell_length_b 11.1387
_cell_length_c 3.8514
_cell_angle_alpha 90.00
_cell_angle_beta 90.00
_cell_angle_gamma 90.00
loop_
_atom_site_label
_atom_site_fract_x
_atom_site_fract_y
_atom_site_fract_z
Tm1 0.0000 0.2441 0.0000
Tm2 0.2391 0.0000 0.5000
Ir1 0.0000 0.0000 0.0000
S1 0.0000 0.5000 0.0000
S2 0.2500 0.2500 0.5000
```

Most intense lines, 5° ≤ 2θ ≤ 70°, by angle:
2θ = 13.6°, intensity 29.1, (1 1 0)
2θ = 27.5°, intensity 23.3, (2 2 0)
2θ = 28.2°, intensity 22.3, (0 2 1)
2θ = 32.1°, intensity 50.6, (0 4 0)
2θ = 32.3°, intensity 100.0, (2 0 1)
2θ = 45.4°, intensity 19.0, (4 0 0)
2θ = 46.2°, intensity 73.0, (2 4 1)
2θ = 56.7°, intensity 19.4, (4 4 0)



Entry 11:
For UIr2S6, a cell relaxed with PBE gives the simulated powder diffraction line list in this record (λ = 1.5418 Å (Cu Kα)).
No peak broadening, texture or thermal motion is included.

Atomic structure:
```
data_UIr2S6
_symmetry_space_group_name_H-M 'C 1 2/m 1'
_symmetry_Int_Tables_number 12
_symmetry_space_group_name_Hall '-C 2y'
_cell_length_a 15.8478
_cell_length_b 3.6700
_cell_length_c 7.7498
_cell_angle_alpha 90.00
_cell_angle_beta 114.46
_cell_angle_gamma 90.00
loop_
_atom_site_label
_atom_site_fract_x
_atom_site_fract_y
_atom_site_fract_z
U1 0.0000 0.0000 0.0000
Ir1 0.1594 0.5000 0.3145
S1 0.0032 0.5000 0.7637
S2 0.1753 0.0000 0.1256
S3 0.1754 0.0000 0.5295
```

Most intense lines, 5° ≤ 2θ ≤ 70°, by angle:
2θ = 13.4°, intensity 100.0, (2 0 -1)
2θ = 29.3°, intensity 23.4, (1 1 1)
2θ = 30.6°, intensity 10.9, (3 1 0)
2θ = 32.2°, intensity 12.2, (4 0 1)
2θ = 33.9°, intensity 31.3, (1 1 -2)
2θ = 37.4°, intensity 25.2, (6 0 0)
2θ = 42.9°, intensity 13.7, (3 1 -3)
2θ = 47.8°, intensity 16.4, (7 1 -2)



Entry 12:
For VIrS, a cell relaxed with PBE gives the simulated powder diffraction line list in this record (λ = 1.5418 Å (Cu Kα)).
No peak broadening, texture or thermal motion is included.

Atomic structure:
```
data_VIrS
_symmetry_space_group_name_H-M 'P -6 m 2'
_symmetry_Int_Tables_number 187
_symmetry_space_group_name_Hall 'P -6 2'
_cell_length_a 2.9270
_cell_length_b 2.9270
_cell_length_c 12.3821
_cell_angle_alpha 90.00
_cell_angle_beta 90.00
_cell_angle_gamma 120.00
loop_
_atom_site_label
_atom_site_fract_x
_atom_site_fract_y
_atom_site_fract_z
V1 0.0000 0.0000 0.0000
V2 0.3333 0.6667 0.5000
Ir1 0.0000 0.0000 0.3465
S1 0.3333 0.6667 0.1261
```

Most intense lines, 5° ≤ 2θ ≤ 70°, by angle:
2θ = 7.1°, intensity 100.0, (0 0 1)
2θ = 21.5°, intensity 34.9, (0 0 3)
2θ = 35.4°, intensity 44.7, (1 0 0)
2θ = 36.2°, intensity 15.3, (1 0 1)
2θ = 41.8°, intensity 85.3, (1 0 3)
2θ = 46.3°, intensity 15.3, (1 0 4)
2θ = 57.6°, intensity 19.4, (1 0 6)
2θ = 63.6°, intensity 15.9, (1 1 0)



Entry 13:
For Sb4Ir, a cell relaxed with PBE gives the simulated powder diffraction line list in this record (λ = 1.5418 Å (Cu Kα)).
No peak broadening, texture or thermal motion is included.

Atomic structure:
```
data_Sb4Ir
_symmetry_space_group_name_H-M 'I m -3 m'
_symmetry_Int_Tables_number 229
_symmetry_space_group_name_Hall '-I 4 2 3'
_cell_length_a 6.4835
_cell_length_b 6.4835
_cell_length_c 6.4835
_cell_angle_alpha 90.00
_cell_angle_beta 90.00
_cell_angle_gamma 90.00
loop_
_atom_site_label
_atom_site_fract_x
_atom_site_fract_y
_atom_site_fract_z
Sb1 0.2500 0.2500 0.2500
Ir1 0.0000 0.0000 0.0000
```

Most intense lines, 5° ≤ 2θ ≤ 70°, by angle:
2θ = 19.4°, intensity 47.0, (1 1 0)
2θ = 27.5°, intensity 25.3, (2 0 0)
2θ = 33.9°, intensity 23.7, (2 1 1)
2θ = 39.3°, intensity 100.0, (2 2 0)
2θ = 44.2°, intensity 11.4, (3 1 0)
2θ = 52.8°, intensity 13.6, (3 2 1)
2θ = 56.8°, intensity 16.9, (4 0 0)
2θ = 64.2°, intensity 8.5, (4 2 0)



Entry 14:
For ScSbIr2, a cell relaxed with PBE gives the simulated powder diffraction line list in this record (λ = 1.5418 Å (Cu Kα)).
No peak broadening, texture or thermal motion is included.

Atomic structure:
```
data_ScSbIr2
_symmetry_space_group_name_H-M 'P m m m'
_symmetry_Int_Tables_number 47
_symmetry_space_group_name_Hall '-P 2 2'
_cell_length_a 3.1570
_cell_length_b 3.6974
_cell_length_c 6.0100
_cell_angle_alpha 90.00
_cell_angle_beta 90.00
_cell_angle_gamma 90.00
loop_
_atom_site_label
_atom_site_fract_x
_atom_site_fract_y
_atom_site_fract_z
Sc1 0.0000 0.0000 0.0000
Sb1 0.0000 0.0000 0.5000
Ir1 0.5000 0.5000 0.2454
```

Most intense lines, 5° ≤ 2θ ≤ 70°, by angle:
2θ = 24.1°, intensity 23.0, (0 1 0)
2θ = 28.3°, intensity 20.9, (1 0 0)
2θ = 37.5°, intensity 100.0, (1 1 0)
2θ = 38.6°, intensity 91.8, (0 1 2)
2θ = 41.5°, intensity 75.0, (1 0 2)
2θ = 48.5°, intensity 15.2, (1 1 2)
2θ = 49.3°, intensity 22.8, (0 2 0)
2θ = 66.3°, intensity 37.2, (1 2 2)